Record 1
Starting from a crystal structure in Alexandria, relaxed with GGA-PBE, the XRD peak list of Ce2TiCr2N6 was simulated for CuKα.
No peak broadening, texture or thermal motion is included.

The 12 most intense peaks (2θ = 15–90°), sorted by position:
2theta	I_rel
16.92	26
29.02	17
31.34	100
33.79	66
35.82	26
38.16	15
43.24	16
46.74	26
55.78	19
57.36	30
62.32	19
65.38	16

Crystal structure
```
11
Lattice="2.855 1.648 5.240 -2.855 1.648 5.240 0.000 -3.296 5.240" Properties=species:S:1:pos:R:3 pbc="T T T"
Ce 0.000 0.000 3.299
Ce 0.000 0.000 12.421
Ti 0.000 0.000 0.000
Cr 0.000 0.000 6.792
Cr 0.000 0.000 8.928
N -1.487 -0.859 9.197
N 0.000 -1.717 6.523
N -1.487 0.859 6.523
N 1.487 -0.859 9.197
N 0.000 1.717 9.197
N 1.487 0.859 6.523
```



Record 2
Starting from a crystal structure in Alexandria, relaxed with GGA-PBE, the XRD peak list of Ir2Ru3Rh8 was simulated for CuKα.
No peak broadening, texture or thermal motion is included.

The 12 most intense peaks (2θ = 15–90°), sorted by position:
2theta	I_rel
27.90	15
36.89	15
38.13	21
39.40	46
41.12	37
41.51	100
42.45	56
42.96	19
45.72	17
50.09	21
51.55	31
76.24	17

Crystal structure
```
13
Lattice="5.166 -4.259 0.000 5.166 4.259 0.000 -1.666 0.000 4.485" Properties=species:S:1:pos:R:3 pbc="T T T"
Ir 1.787 0.000 1.444
Ir 6.880 0.000 3.041
Ru 5.166 1.837 0.000
Ru 4.334 0.000 2.243
Ru 5.166 -1.837 0.000
Rh -0.856 0.000 3.550
Rh 3.015 2.242 1.882
Rh 1.851 0.000 4.066
Rh 5.653 2.242 2.603
Rh 3.015 -2.242 1.882
Rh 6.817 0.000 0.419
Rh 5.653 -2.242 2.603
Rh 9.523 0.000 0.936
```



Record 3
Starting from a crystal structure in Alexandria, relaxed with GGA-PBE, the XRD peak list of PaP2Au was simulated for CuKα.
No peak broadening, texture or thermal motion is included.

The 12 most intense peaks (2θ = 15–90°), sorted by position:
2theta	I_rel
24.36	41
28.30	58
37.68	100
40.46	41
47.79	29
58.38	16
58.55	14
64.35	12
66.12	20
66.28	11
71.74	31
80.46	12

Crystal structure
```
4
Lattice="4.459 0.000 0.000 0.000 4.459 0.000 0.000 0.000 3.654" Properties=species:S:1:pos:R:3 pbc="T T T"
Pa 0.000 0.000 0.000
P 0.000 2.230 1.827
P 2.230 0.000 1.827
Au 2.230 2.230 0.000
```